Entry 1:
Calculated powder X-ray diffraction pattern of CeTmLuTl for copper Kα, from a DFT-relaxed cell (PBE, Alexandria).

Crystal structure
a b c (Å): 5.3402 5.3402 5.3402
angles (deg): 60.00 60.00 60.00
Element x y z (fractional)
Ce 0.0000 0.0000 0.0000
Tm 0.2500 0.2500 0.2500
Lu 0.7500 0.7500 0.7500
Tl 0.5000 0.5000 0.5000

The 6 most intense peaks (2θ from 15° to 90°), most intense first:
2θ (°)  I (rel.)
33.56  100.0
60.01  38.2
48.20  18.3
80.42  16.6
70.54  11.8
20.37  1.7

***

Entry 2:
Calculated powder X-ray diffraction pattern of RbSn4Sb for copper Kα, from a DFT-relaxed cell (PBE, Alexandria).

Crystal structure
a b c (Å): 7.3634 7.3634 7.2595
angles (deg): 112.76 112.76 34.74
Element x y z (fractional)
Rb 0.0000 0.0000 0.0000
Sn 0.2382 0.2382 0.8256
Sn 0.3430 0.3430 0.5125
Sn 0.6570 0.6570 0.4875
Sn 0.7618 0.7618 0.1744
Sb 0.0000 0.0000 0.5000

The 6 most intense peaks (2θ from 15° to 90°), most intense first:
2θ (°)  I (rel.)
33.54  100.0
35.63  51.1
29.11  49.2
26.75  44.9
41.06  30.5
25.44  18.5

***

Entry 3:
Calculated powder X-ray diffraction pattern of Y6Al3S14 for copper Kα, from a DFT-relaxed cell (PBE, Alexandria).

Crystal structure
a b c (Å): 9.5880 9.5880 6.1724
angles (deg): 90.00 90.00 120.00
Element x y z (fractional)
Y 0.0368 0.4866 0.0000
Y 0.2888 0.1797 0.4925
Y 0.4498 0.9632 0.0000
Y 0.5134 0.5502 0.0000
Y 0.8203 0.1091 0.4925
Y 0.8909 0.7112 0.4925
Al 0.0000 0.0000 0.0659
Al 0.3333 0.6667 0.5720
Al 0.6667 0.3333 0.6719
S 0.0000 0.0000 0.7038
S 0.0964 0.2439 0.2215
S 0.1475 0.9036 0.2215
S 0.1905 0.7668 0.7292
S 0.2332 0.4237 0.7292
S 0.3333 0.6667 0.2085
S 0.4293 0.2306 0.8910
S 0.5290 0.0944 0.4265
S 0.5654 0.4710 0.4265
S 0.5763 0.8095 0.7292
S 0.7561 0.8525 0.2215
S 0.7694 0.1986 0.8910
S 0.8014 0.5707 0.8910
S 0.9056 0.4346 0.4265

The 6 most intense peaks (2θ from 15° to 90°), most intense first:
2θ (°)  I (rel.)
25.86  100.0
35.55  57.1
36.27  54.7
37.52  51.1
17.91  44.1
49.43  43.4